Tl4GeTe5: computed X-ray diffraction stick pattern (Cu Kα (λ = 1.5418 Å)), based on a structure optimized by DFT (PBE).
Kinematic intensities with the Lorentz-polarization factor, no thermal factor.

Main lines, low angle first (5° ≤ 2θ ≤ 70°):
| 2theta | d/Å | I/Imax | hkl |
| --- | --- | --- | --- |
| 22.68 | 3.921 | 31 | 1 1 -2 |
| 25.00 | 3.562 | 68 | 0 2 0 |
| 28.28 | 3.156 | 100 | 3 1 0 |
| 30.26 | 2.953 | 46 | 2 2 0 |
| 31.12 | 2.874 | 77 | 3 1 -3 |
| 31.43 | 2.847 | 40 | 4 0 -3 |
| 33.89 | 2.645 | 76 | 0 0 3 |
| 42.56 | 2.124 | 39 | 0 2 3 |

Atomic structure:
a b c (Å): 12.8476 7.1259 9.6504
angles (deg): 90.00 124.72 90.00
Space group C2 (No. 5)
Asymmetric unit:
1 Tl 0.0115 0.0000 0.1912 x4
2 Tl 0.2061 0.3924 0.1654 x4
3 Ge 0.0000 0.4573 0.5000 x2
4 Te 0.0000 0.8280 0.5000 x2
5 Te 0.1838 0.3223 0.4847 x4
6 Te 0.2118 0.3249 0.8431 x4


PaMnSi2Pd: computed X-ray diffraction stick pattern (Cu Kα (λ = 1.5418 Å)), based on a structure optimized by DFT (PBE).
Kinematic intensities with the Lorentz-polarization factor, no thermal factor.

Main lines, low angle first (5° ≤ 2θ ≤ 70°):
| 2theta | d/Å | I/Imax | hkl |
| --- | --- | --- | --- |
| 23.78 | 3.741 | 57 | 1 0 1 |
| 35.13 | 2.555 | 43 | 1 0 3 |
| 36.31 | 2.474 | 100 | 1 1 2 |
| 44.85 | 2.021 | 30 | 2 0 0 |
| 51.41 | 1.777 | 31 | 1 0 5 |
| 58.21 | 1.585 | 21 | 2 1 3 |
| 59.04 | 1.565 | 15 | 2 0 4 |
| 65.33 | 1.428 | 24 | 2 2 0 |

Atomic structure:
a b c (Å): 4.0416 4.0416 9.8906
angles (deg): 90.00 90.00 90.00
Space group I-4m2 (No. 119)
Asymmetric unit:
1 Pa 0.0000 0.0000 0.0000 x2
2 Mn 0.0000 0.5000 0.2500 x2
3 Si 0.0000 0.0000 0.3787 x4
4 Pd 0.0000 0.5000 0.7500 x2